Structure and simulated X-ray diffraction stick pattern of Tm8Al2Rh (a crystal structure in Alexandria, relaxed with GGA-PBE; Cu Kα).

Lattice parameters (Å, degrees): 9.063 9.063 6.784 110.37 110.37 32.92
Sites, in units of the cell vectors:
Tm: 0.017 0.017 0.279
Tm: 0.201 0.201 0.782
Tm: 0.349 0.349 0.557
Tm: 0.405 0.405 0.072
Tm: 0.595 0.595 0.928
Tm: 0.651 0.651 0.443
Tm: 0.799 0.799 0.218
Tm: 0.983 0.983 0.721
Al: 0.179 0.179 0.201
Al: 0.821 0.821 0.799
Rh: 0.500 0.500 0.500

Most intense lines, 2θ = 15–90°, in order of rising 2θ:
Position (°2θ)	I (rel.)
28.84	29
30.78	52
30.94	34
31.34	57
31.97	44
32.25	30
32.68	82
34.94	100
35.45	95
36.20	49